No. 1
For Ca2LaYTe4, a structure optimized by DFT (GGA-PBE) gives the calculated X-ray powder pattern in this record (copper Kα).
Peak positions follow from Bragg's law for the DFT cell and can differ from measured ones.

Principal peaks in the range 5 to 70 degrees two-theta, by intensity:
| index | 2theta | I/Imax |
| --- | --- | --- |
| 1 1 1 | 28.11 | 100 |
| 1 1 -3 | 39.89 | 38 |
| 0 2 0 | 40.47 | 37 |
| 2 2 -2 | 50.00 | 20 |
| 0 2 4 | 65.38 | 17 |
| 1 3 1 | 66.20 | 16 |
| 2 2 2 | 58.12 | 12 |
| 1 1 -1 | 24.40 | 7 |

Structural model:
Cell lengths 7.726, 4.456, 7.866 Å; angles 90.00, 109.08, 90.00 degrees
Space group P2/m (No. 10)
Asymmetric unit:
Ca: 0.000 0.000 0.000
Ca: 0.500 0.500 0.000
La: 0.000 0.500 0.500
Y: 0.500 0.000 0.500
Te: 0.258 0.500 0.250
Te: 0.260 0.000 0.755


No. 2
For CaLa4Th, a structure optimized by DFT (GGA-PBE) gives the calculated X-ray powder pattern in this record (copper Kα).
Peak positions follow from Bragg's law for the DFT cell and can differ from measured ones.

Principal peaks in the range 5 to 70 degrees two-theta, by intensity:
| index | 2theta | I/Imax |
| --- | --- | --- |
| 1 0 3 | 29.36 | 100 |
| 0 0 1 | 5.38 | 75 |
| 1 1 0 | 34.67 | 34 |
| 0 0 6 | 32.75 | 30 |
| 2 1 3 | 58.91 | 28 |
| 1 1 6 | 48.41 | 22 |
| 2 0 6 | 60.92 | 16 |
| 2 0 0 | 49.85 | 12 |

Structural model:
Cell lengths 3.659, 3.659, 16.424 Å; angles 90.00, 90.00, 90.00 degrees
Space group P4/mmm (No. 123)
Asymmetric unit:
Ca: 0.000 0.000 0.000
La: 0.000 0.000 0.348
La: 0.500 0.500 0.179
Th: 0.500 0.500 0.500


No. 3
For Ca2La2Tl3, a structure optimized by DFT (GGA-PBE) gives the calculated X-ray powder pattern in this record (copper Kα).
Peak positions follow from Bragg's law for the DFT cell and can differ from measured ones.

Principal peaks in the range 5 to 70 degrees two-theta, by intensity:
| index | 2theta | I/Imax |
| --- | --- | --- |
| 0 2 0 | 5.41 | 100 |
| 1 7 0 | 30.31 | 63 |
| 1 1 1 | 33.91 | 60 |
| 0 8 1 | 32.67 | 46 |
| 0 6 1 | 29.19 | 26 |
| 1 15 1 | 54.52 | 25 |
| 1 7 2 | 58.95 | 19 |
| 2 8 1 | 59.11 | 17 |

Structural model:
Cell lengths 3.804, 32.667, 3.698 Å; angles 90.00, 90.00, 90.00 degrees
Space group Cmmm (No. 65)
Asymmetric unit:
Ca: 0.000 0.197 0.000
La: 0.000 0.068 0.000
Tl: 0.000 0.363 0.500
Tl: 0.000 0.500 0.500


No. 4
For CaLaYTl, a structure optimized by DFT (GGA-PBE) gives the calculated X-ray powder pattern in this record (copper Kα).
Peak positions follow from Bragg's law for the DFT cell and can differ from measured ones.

Principal peaks in the range 5 to 70 degrees two-theta, by intensity:
| index | 2theta | I/Imax |
| --- | --- | --- |
| 2 2 0 | 31.74 | 100 |
| 4 2 2 | 56.54 | 38 |
| 1 1 1 | 19.28 | 26 |
| 4 0 0 | 45.50 | 18 |
| 3 1 1 | 37.40 | 16 |
| 4 4 0 | 66.30 | 12 |
| 3 3 1 | 49.84 | 7 |
| 5 1 1 | 60.31 | 6 |

Structural model:
Cell lengths 7.975, 7.975, 7.975 Å; angles 90.00, 90.00, 90.00 degrees
Space group F-43m (No. 216)
Asymmetric unit:
Ca: 0.000 0.000 0.000
La: 0.250 0.250 0.250
Y: 0.250 0.250 0.750
Tl: 0.000 0.000 0.500


No. 5
For CaLa2Tm, a structure optimized by DFT (GGA-PBE) gives the calculated X-ray powder pattern in this record (copper Kα).
Peak positions follow from Bragg's law for the DFT cell and can differ from measured ones.

Principal peaks in the range 5 to 70 degrees two-theta, by intensity:
| index | 2theta | I/Imax |
| --- | --- | --- |
| 0 1 5 | 30.51 | 100 |
| 0 0 3 | 7.17 | 97 |
| 1 0 7 | 32.78 | 61 |
| 0 1 2 | 28.38 | 43 |
| 0 0 12 | 28.96 | 40 |
| 1 0 10 | 37.21 | 38 |
| 1 1 12 | 58.34 | 33 |
| 1 1 0 | 49.47 | 30 |

Structural model:
Cell lengths 3.6852, 3.6852, 36.9925 Å; angles 90.00, 90.00, 120.00 degrees
Space group R3m (No. 160, hexagonal axes)
Asymmetric unit:
Ca: 0.0000 0.0000 0.0000
La: 0.0000 0.0000 0.5780
La: 0.0000 0.0000 0.7563
Tm: 0.0000 0.0000 0.1672


No. 6
For CaLa14Tm, a structure optimized by DFT (GGA-PBE) gives the calculated X-ray powder pattern in this record (copper Kα).
Peak positions follow from Bragg's law for the DFT cell and can differ from measured ones.

Principal peaks in the range 5 to 70 degrees two-theta, by intensity:
| index | 2theta | I/Imax |
| --- | --- | --- |
| 2 2 2 | 29.37 | 100 |
| 4 0 4 | 48.91 | 36 |
| 4 0 0 | 34.01 | 34 |
| 6 2 2 | 58.04 | 29 |
| 0 0 4 | 34.11 | 17 |
| 2 2 6 | 58.16 | 14 |
| 4 4 4 | 60.93 | 12 |
| 1 1 0 | 11.87 | 3 |

Structural model:
Cell lengths 10.538, 10.550, 10.515 Å; angles 90.00, 90.00, 90.00 degrees
Space group Cmmm (No. 65)
Asymmetric unit:
Ca: 0.000 0.000 0.000
La: 0.000 0.000 0.500
La: 0.000 0.257 0.252
La: 0.000 0.500 0.500
La: 0.243 0.500 0.252
La: 0.250 0.250 0.000
La: 0.250 0.250 0.500
Tm: 0.000 0.500 0.000


No. 7
For CaLa7Y12, a structure optimized by DFT (GGA-PBE) gives the calculated X-ray powder pattern in this record (copper Kα).
Peak positions follow from Bragg's law for the DFT cell and can differ from measured ones.

Principal peaks in the range 5 to 70 degrees two-theta, by intensity:
| index | 2theta | I/Imax |
| --- | --- | --- |
| 4 0 0 | 31.28 | 100 |
| 4 4 0 | 44.83 | 73 |
| 2 2 2 | 27.01 | 45 |
| 2 2 0 | 21.98 | 45 |
| 2 0 0 | 15.50 | 27 |
| 4 4 4 | 55.68 | 25 |
| 4 2 2 | 38.56 | 21 |
| 6 2 2 | 53.12 | 19 |

Structural model:
Cell lengths 11.437, 11.437, 11.437 Å; angles 90.00, 90.00, 90.00 degrees
Space group Im-3m (No. 229)
Asymmetric unit:
Ca: 0.000 0.000 0.000
La: 0.000 0.000 0.500
La: 0.250 0.250 0.250
Y: 0.000 0.252 0.252


No. 8
For CaLaY14, a structure optimized by DFT (GGA-PBE) gives the calculated X-ray powder pattern in this record (copper Kα).
Peak positions follow from Bragg's law for the DFT cell and can differ from measured ones.

Principal peaks in the range 5 to 70 degrees two-theta, by intensity:
| index | 2theta | I/Imax |
| --- | --- | --- |
| 2 2 2 | 32.42 | 100 |
| 1 0 4 | 29.49 | 43 |
| 4 0 0 | 30.72 | 34 |
| 4 4 0 | 60.18 | 28 |
| 0 4 0 | 50.38 | 25 |
| 3 2 2 | 36.84 | 24 |
| 6 2 2 | 55.70 | 20 |
| 2 0 8 | 61.20 | 15 |

Structural model:
Cell lengths 11.642, 7.242, 12.554 Å; angles 90.00, 90.00, 90.00 degrees
Space group Amm2 (No. 38)
Asymmetric unit:
Ca: 0.000 0.000 0.000
La: 0.000 0.000 0.498
Y: 0.000 0.250 0.250
Y: 0.250 0.000 0.333
Y: 0.254 0.000 0.831
Y: 0.256 0.247 0.584
Y: 0.500 0.000 0.166
Y: 0.500 0.000 0.666
Y: 0.500 0.250 0.415


No. 9
For CaLa4Y3, a structure optimized by DFT (GGA-PBE) gives the calculated X-ray powder pattern in this record (copper Kα).
Peak positions follow from Bragg's law for the DFT cell and can differ from measured ones.

Principal peaks in the range 5 to 70 degrees two-theta, by intensity:
| index | 2theta | I/Imax |
| --- | --- | --- |
| 1 2 2 | 29.61 | 100 |
| 0 4 0 | 34.04 | 17 |
| 2 0 0 | 34.18 | 17 |
| 0 0 4 | 34.74 | 16 |
| 3 2 2 | 58.40 | 14 |
| 0 0 1 | 8.56 | 14 |
| 1 6 2 | 58.21 | 14 |
| 1 2 6 | 59.14 | 13 |

Structural model:
Cell lengths 5.247, 10.535, 10.329 Å; angles 90.00, 90.00, 90.00 degrees
Space group Pmmn (No. 59, origin choice 2)
Asymmetric unit:
Ca: 0.250 0.250 0.121
La: 0.250 0.250 0.627
La: 0.250 0.505 0.375
La: 0.250 0.750 0.615
Y: 0.250 0.005 0.878
Y: 0.250 0.750 0.125


No. 10
For CaLaY4, a structure optimized by DFT (GGA-PBE) gives the calculated X-ray powder pattern in this record (copper Kα).
Peak positions follow from Bragg's law for the DFT cell and can differ from measured ones.

Principal peaks in the range 5 to 70 degrees two-theta, by intensity:
| index | 2theta | I/Imax |
| --- | --- | --- |
| 3 1 1 | 32.88 | 100 |
| 3 1 -1 | 31.26 | 65 |
| 6 0 0 | 30.41 | 52 |
| 0 0 2 | 28.29 | 41 |
| 2 0 2 | 31.16 | 33 |
| 5 1 3 | 59.33 | 30 |
| 1 1 -3 | 49.64 | 26 |
| 9 1 1 | 56.67 | 23 |

Structural model:
Cell lengths 17.763, 3.661, 6.369 Å; angles 90.00, 96.81, 90.00 degrees
Space group C2/m (No. 12)
Asymmetric unit:
Ca: 0.000 0.000 0.000
La: 0.000 0.500 0.500
Y: 0.169 0.000 0.393
Y: 0.172 0.500 0.888


No. 11
For Ca2La4Y, a structure optimized by DFT (GGA-PBE) gives the calculated X-ray powder pattern in this record (copper Kα).
Peak positions follow from Bragg's law for the DFT cell and can differ from measured ones.

Principal peaks in the range 5 to 70 degrees two-theta, by intensity:
| index | 2theta | I/Imax |
| --- | --- | --- |
| 0 2 0 | 29.80 | 100 |
| 1 1 4 | 32.38 | 66 |
| 0 0 2 | 7.30 | 30 |
| 2 2 0 | 59.49 | 27 |
| 1 0 3 | 26.91 | 25 |
| 1 1 0 | 28.72 | 21 |
| 0 0 4 | 14.63 | 20 |
| 1 2 3 | 40.57 | 16 |

Structural model:
Cell lengths 3.634, 5.998, 24.218 Å; angles 90.00, 90.00, 90.00 degrees
Space group Immm (No. 71)
Asymmetric unit:
Ca: 0.000 0.000 0.221
La: 0.000 0.500 0.131
La: 0.000 0.500 0.420
Y: 0.000 0.000 0.500


No. 12
For Ca2La15Y2, a structure optimized by DFT (GGA-PBE) gives the calculated X-ray powder pattern in this record (copper Kα).
Peak positions follow from Bragg's law for the DFT cell and can differ from measured ones.

Principal peaks in the range 5 to 70 degrees two-theta, by intensity:
| index | 2theta | I/Imax |
| --- | --- | --- |
| 2 2 3 | 33.82 | 100 |
| 0 3 3 | 30.13 | 79 |
| 1 1 0 | 14.99 | 47 |
| 2 2 0 | 30.25 | 44 |
| 2 0 5 | 30.36 | 36 |
| 6 0 0 | 53.76 | 32 |
| 0 0 6 | 29.79 | 30 |
| 1 1 6 | 33.51 | 28 |

Structural model:
Cell lengths 11.8195, 11.8195, 17.9951 Å; angles 90.00, 90.00, 120.00 degrees
Space group R-3m (No. 166, hexagonal axes)
Asymmetric unit:
Ca: 0.0000 0.0000 0.1707
La: 0.0000 0.2929 0.5000
La: 0.0000 0.5000 0.0000
La: 0.0080 0.5040 0.6414
Y: 0.0000 0.0000 0.4037